(1)
Diffraction record for KAcS2O6. The powder X-ray diffraction pattern is computed, not measured: it uses a cell relaxed with PBE and copper Kα.
Lines closer than 0.1° are merged.

Atomic structure:
```
data_KAcS2O6
_symmetry_space_group_name_H-M 'R -3'
_symmetry_Int_Tables_number 148
_symmetry_space_group_name_Hall '-R 3'
_cell_length_a 5.4839
_cell_length_b 5.4839
_cell_length_c 21.0929
_cell_angle_alpha 90.00
_cell_angle_beta 90.00
_cell_angle_gamma 120.00
loop_
_atom_site_label
_atom_site_type_symbol
_atom_site_fract_x
_atom_site_fract_y
_atom_site_fract_z
K1 K 0.0000 0.0000 0.0000
Ac1 Ac 0.0000 0.0000 0.5000
S1 S 0.0000 0.0000 0.2678
O1 O 0.0107 0.7466 0.2387
```

Top 12 peaks for 10 to 80 degrees two-theta, by angle:
two_theta	d_spacing	Rel. int.
12.6	7.031	37
19.2	4.633	50
20.5	4.330	32
25.2	3.529	100
28.3	3.154	23
32.7	2.742	33
35.1	2.555	18
38.9	2.317	13
39.1	2.305	26
41.8	2.163	41
51.3	1.782	15
54.0	1.699	17

(2)
Diffraction record for BaNa2TcCl8. The powder X-ray diffraction pattern is computed, not measured: it uses a cell relaxed with PBE and copper Kα.
Lines closer than 0.1° are merged.

Atomic structure:
```
data_BaNa2TcCl8
_symmetry_space_group_name_H-M 'P -1'
_symmetry_Int_Tables_number 2
_cell_length_a 6.423
_cell_length_b 6.554
_cell_length_c 8.708
_cell_angle_alpha 83.71
_cell_angle_beta 85.70
_cell_angle_gamma 86.46
loop_
_symmetry_equiv_pos_as_xyz
'x,y,z'
'-x,-y,-z'
loop_
_atom_site_label
_atom_site_type_symbol
_atom_site_fract_x
_atom_site_fract_y
_atom_site_fract_z
Ba1 Ba 0.000 0.000 0.000
Na1 Na 0.451 0.438 0.237
Tc1 Tc 0.000 0.000 0.500
Cl1 Cl 0.143 0.769 0.703
Cl2 Cl 0.201 0.819 0.311
Cl3 Cl 0.275 0.220 0.507
Cl4 Cl 0.342 0.295 0.976
```

Top 12 peaks for 10 to 80 degrees two-theta, by angle:
two_theta	d_spacing	Rel. int.
13.6	6.505	100
13.8	6.396	80
18.9	4.689	79
20.0	4.443	85
20.6	4.318	36
23.5	3.786	35
28.5	3.134	55
29.2	3.061	63
30.5	2.933	40
38.4	2.343	40
39.0	2.309	47
48.9	1.861	33

What is the formula in the first record?
KAcS2O6

Repeat the second record exactly.
Diffraction record for BaNa2TcCl8. The powder X-ray diffraction pattern is computed, not measured: it uses a cell relaxed with PBE and copper Kα.
Lines closer than 0.1° are merged.

Atomic structure:
```
data_BaNa2TcCl8
_symmetry_space_group_name_H-M 'P -1'
_symmetry_Int_Tables_number 2
_cell_length_a 6.423
_cell_length_b 6.554
_cell_length_c 8.708
_cell_angle_alpha 83.71
_cell_angle_beta 85.70
_cell_angle_gamma 86.46
loop_
_symmetry_equiv_pos_as_xyz
'x,y,z'
'-x,-y,-z'
loop_
_atom_site_label
_atom_site_type_symbol
_atom_site_fract_x
_atom_site_fract_y
_atom_site_fract_z
Ba1 Ba 0.000 0.000 0.000
Na1 Na 0.451 0.438 0.237
Tc1 Tc 0.000 0.000 0.500
Cl1 Cl 0.143 0.769 0.703
Cl2 Cl 0.201 0.819 0.311
Cl3 Cl 0.275 0.220 0.507
Cl4 Cl 0.342 0.295 0.976
```

Top 12 peaks for 10 to 80 degrees two-theta, by angle:
two_theta	d_spacing	Rel. int.
13.6	6.505	100
13.8	6.396	80
18.9	4.689	79
20.0	4.443	85
20.6	4.318	36
23.5	3.786	35
28.5	3.134	55
29.2	3.061	63
30.5	2.933	40
38.4	2.343	40
39.0	2.309	47
48.9	1.861	33